Diffraction record for Te2PdBr. The PXRD pattern is calculated, not measured: it uses a structure optimized by DFT (PBE) and a wavelength of 1.5418 Å.
No peak broadening, texture or thermal motion is included.

Structure:
```
Te2PdBr
1.0
8.4480 0.0000 0.0000
0.0000 4.4432 0.0000
-7.7143 0.0000 12.7573
Te Pd Br
8 4 4
direct
0.0459 0.1267 0.3701 Te
0.0459 0.3733 0.8701 Te
0.3694 0.6880 0.9085 Te
0.3694 0.8120 0.4085 Te
0.6306 0.1880 0.5915 Te
0.6306 0.3120 0.0915 Te
0.9541 0.6267 0.1299 Te
0.9541 0.8733 0.6299 Te
0.1880 0.2104 0.2531 Pd
0.1880 0.2896 0.7531 Pd
0.8120 0.7104 0.2469 Pd
0.8120 0.7896 0.7469 Pd
0.3072 0.0989 0.1311 Br
0.3072 0.4011 0.6311 Br
0.6928 0.5989 0.3689 Br
0.6928 0.9011 0.8689 Br
```

Most intense lines, 10° ≤ 2θ ≤ 80°, sorted by position:
2θ 12.9, d = 6.857 Å, rel. 630
2θ 26.3, d = 3.387 Å, rel. 361
2θ 27.0, d = 3.307 Å, rel. 289
2θ 28.0, d = 3.189 Å, rel. 208
2θ 30.6, d = 2.926 Å, rel. 1000
2θ 31.9, d = 2.804 Å, rel. 387
2θ 33.0, d = 2.713 Å, rel. 546
2θ 41.8, d = 2.163 Å, rel. 400
2θ 46.7, d = 1.945 Å, rel. 255
2θ 49.2, d = 1.851 Å, rel. 247